Record 1
# Ca2TaTl
Calculated powder diffractogram, Cu Ka. Input: DFT lattice parameters and positions (PBE).
Kinematic intensities with the Lorentz-polarization factor, no thermal factor.

Crystal structure
a b c (Å): 3.480 5.394 10.926
angles (deg): 90.00 90.00 90.00
Element x y z (fractional)
Ca  0.000  0.000  0.247
Ca  0.000  0.000  0.753
Ca  0.500  0.500  0.253
Ca  0.500  0.500  0.747
Ta  0.000  0.500  0.000
Ta  0.500  0.000  0.500
Tl  0.000  0.500  0.500
Tl  0.500  0.000  0.000

Most intense lines, 2θ = 10–90°, low angle first:
2θ (°), I_rel
16.2, 61.3
30.6, 27.9
32.8, 29.3
33.2, 28.3
34.8, 100.0
37.2, 16.9
45.4, 19.8
47.4, 20.9
59.8, 20.7
60.4, 20.2



Record 2
# EuGaSi
Calculated powder diffractogram, Cu Ka. Input: DFT lattice parameters and positions (PBE).
Kinematic intensities with the Lorentz-polarization factor, no thermal factor.

Crystal structure
a b c (Å): 4.176 4.176 4.435
angles (deg): 90.00 90.00 120.00
Element x y z (fractional)
Eu  0.000  0.000  0.000
Ga  0.333  0.667  0.500
Si  0.667  0.333  0.500

Most intense lines, 2θ = 10–90°, low angle first:
2θ (°), I_rel
24.6, 25.7
31.9, 100.0
40.7, 12.9
43.3, 32.3
48.1, 10.8
54.8, 21.3
61.0, 23.1
68.6, 13.9
72.3, 18.6
84.7, 6.2



Record 3
# CrGe2SbIr
Calculated powder diffractogram, Cu Ka. Input: DFT lattice parameters and positions (PBE).
Kinematic intensities with the Lorentz-polarization factor, no thermal factor.

Crystal structure
a b c (Å): 5.249 5.249 4.887
angles (deg): 90.00 90.00 90.00
Element x y z (fractional)
Cr  0.000  0.000  0.000
Ge  0.000  0.500  0.500
Ge  0.500  0.000  0.500
Sb  0.500  0.500  0.500
Ir  0.500  0.500  0.000

Most intense lines, 2θ = 10–90°, low angle first:
2θ (°), I_rel
16.9, 100.0
24.0, 31.1
30.2, 57.1
34.2, 73.5
36.8, 30.0
38.3, 26.6
40.7, 22.6
49.1, 26.1
51.1, 46.3
62.9, 24.5



Record 4
# Pm8Bi4Te3
Calculated powder diffractogram, Cu Ka. Input: DFT lattice parameters and positions (PBE).
Kinematic intensities with the Lorentz-polarization factor, no thermal factor.

Crystal structure
a b c (Å): 8.984 8.984 8.956
angles (deg): 119.85 119.85 90.06
Element x y z (fractional)
Pm  0.247  0.247  0.001
Pm  0.248  0.752  0.000
Pm  0.249  0.751  0.500
Pm  0.250  0.250  0.500
Pm  0.750  0.750  0.500
Pm  0.751  0.249  0.500
Pm  0.752  0.248  0.000
Pm  0.753  0.753  0.999
Bi  0.000  0.000  0.500
Bi  0.000  0.500  0.000
Bi  0.500  0.000  0.000
Bi  0.500  0.500  0.000
Te  0.000  0.500  0.500
Te  0.500  0.000  0.500
Te  0.500  0.500  0.500

Most intense lines, 2θ = 10–90°, low angle first:
2θ (°), I_rel
28.1, 100.0
40.0, 13.0
40.1, 51.7
40.3, 12.8
49.6, 14.1
49.8, 13.9
58.1, 13.2
65.7, 24.4
72.7, 9.1
73.1, 9.0



Record 5
# NbPdRh3
Calculated powder diffractogram, Cu Ka. Input: DFT lattice parameters and positions (PBE).
Kinematic intensities with the Lorentz-polarization factor, no thermal factor.

Crystal structure
a b c (Å): 7.239 7.239 7.239
angles (deg): 43.90 43.90 43.90
Element x y z (fractional)
Nb  0.100  0.100  0.100
Nb  0.900  0.900  0.900
Pd  0.333  0.333  0.333
Pd  0.667  0.667  0.667
Rh  0.106  0.617  0.617
Rh  0.383  0.383  0.894
Rh  0.383  0.894  0.383
Rh  0.617  0.106  0.617
Rh  0.617  0.617  0.106
Rh  0.894  0.382  0.383

Most intense lines, 2θ = 10–90°, low angle first:
2θ (°), I_rel
13.6, 28.5
35.9, 31.8
38.7, 48.7
41.5, 48.4
42.8, 100.0
45.1, 87.7
54.2, 15.2
69.5, 32.7
74.9, 15.2
84.3, 37.4



Record 6
# CuNiHRuCSe
Calculated powder diffractogram, Cu Ka. Input: DFT lattice parameters and positions (PBE).
Kinematic intensities with the Lorentz-polarization factor, no thermal factor.

Crystal structure
a b c (Å): 3.322 3.654 6.261
angles (deg): 96.67 97.46 91.23
Element x y z (fractional)
Cu  0.000  0.000  0.000
Ni  0.488  0.471  0.847
H  0.369  0.057  0.301
Ru  0.366  0.546  0.270
C  0.822  0.507  0.108
Se  0.931  0.704  0.618

Most intense lines, 2θ = 10–90°, low angle first:
2θ (°), I_rel
24.5, 100.0
27.0, 46.1
36.2, 49.2
37.2, 87.7
37.6, 52.6
39.4, 65.1
40.6, 75.6
42.8, 77.6
48.2, 39.1
55.8, 48.7